# 1
LiZn: theoretical PXRD pattern (Cu Kα, 1.54184 Å), based on a DFT-relaxed cell (GGA-PBE, OQMD).
Neutral-atom scattering factors, no anomalous dispersion.

The 12 most intense peaks (15° ≤ 2θ ≤ 90°), in order of rising 2θ:
h k l	d_spacing	Position (°2θ)	intensity
1 0 0	5.357	16.5	18
1 1 0	5.025	17.7	28
0 2 1	3.757	23.7	56
0 4 0	3.622	24.6	43
2 3 0	2.342	38.4	31
2 1 1	2.259	39.9	43
0 0 2	2.197	41.1	43
0 6 1	2.116	42.7	63
2 3 1	2.067	43.8	100
2 3 2	1.603	57.5	18
2 9 0	1.380	67.9	18
2 9 2	1.168	82.6	19

Atomic structure:
```
data_LiZn
_cell_length_a 5.3571
_cell_length_b 14.4864
_cell_length_c 4.3945
_cell_angle_alpha 90.00
_cell_angle_beta 90.00
_cell_angle_gamma 90.00
_symmetry_space_group_name_H-M 'P b c m'
_symmetry_Int_Tables_number 57
loop_
_symmetry_equiv_pos_as_xyz
'x,y,z'
'-x,-y,-z'
'-x,-y,z+1/2'
'x,y,-z+1/2'
'x,-y+1/2,-z'
'-x,y+1/2,z'
'-x,y+1/2,-z+1/2'
'x,-y+1/2,z+1/2'
loop_
_atom_site_label
_atom_site_fract_x
_atom_site_fract_y
_atom_site_fract_z
_atom_site_occupancy
Li1 0.1197 0.0340 0.2500 1
Li2 0.3697 0.5280 0.2500 1
Li3 0.3777 0.1968 0.2500 1
Zn1 0.1226 0.1375 0.7500 1
Zn2 0.1284 0.6952 0.2500 1
Zn3 0.3731 0.6329 0.7500 1
```

---

# 2
LiZn6: theoretical PXRD pattern (Cu Kα, 1.54184 Å), based on a DFT-relaxed cell (GGA-PBE, OQMD).
Neutral-atom scattering factors, no anomalous dispersion.

The 12 most intense peaks (15° ≤ 2θ ≤ 90°), in order of rising 2θ:
h k l	d_spacing	Position (°2θ)	intensity
2 0 0	4.698	18.9	16
2 1 1	3.836	23.2	51
2 0 2	3.321	26.8	15
1 0 4	2.276	39.6	44
3 3 0	2.215	40.7	59
3 3 1	2.156	41.9	100
4 0 2	2.101	43.1	35
4 1 2	2.050	44.2	88
3 2 3	2.003	45.3	21
4 1 3	1.843	49.5	19
7 2 1	1.279	74.1	21
4 2 6	1.255	75.8	15

Atomic structure:
```
data_LiZn6
_cell_length_a 9.4001
_cell_length_b 9.4001
_cell_length_c 9.3839
_cell_angle_alpha 90.00
_cell_angle_beta 90.00
_cell_angle_gamma 90.00
_symmetry_space_group_name_H-M 'P 42/n c m'
_symmetry_Int_Tables_number 138
loop_
_symmetry_equiv_pos_as_xyz
'x,y,z'
'-x,-y,-z'
'-y+1/2,x,z+1/2'
'y+1/2,-x,-z+1/2'
'-x+1/2,-y+1/2,z'
'x+1/2,y+1/2,-z'
'y,-x+1/2,z+1/2'
'-y,x+1/2,-z+1/2'
'x+1/2,-y,-z+1/2'
'-x+1/2,y,z+1/2'
'-y,-x,-z'
'y,x,z'
'-x,y+1/2,-z+1/2'
'x,-y+1/2,z+1/2'
'y+1/2,x+1/2,-z'
'-y+1/2,-x+1/2,z'
loop_
_atom_site_label
_atom_site_fract_x
_atom_site_fract_y
_atom_site_fract_z
_atom_site_occupancy
Li1 0.0722 0.0722 0.2156 1
Zn1 0.0000 0.0000 0.5000 1
Zn2 0.0171 0.6848 0.5785 1
Zn3 0.1148 0.7057 0.8471 1
Zn4 0.1508 0.1508 0.6887 1
Zn5 0.2500 0.2500 0.4393 1
```

---

# 3
LiZr5: theoretical PXRD pattern (Cu Kα, 1.54184 Å), based on a DFT-relaxed cell (GGA-PBE, OQMD).
Neutral-atom scattering factors, no anomalous dispersion.

The 12 most intense peaks (15° ≤ 2θ ≤ 90°), in order of rising 2θ:
h k l	d_spacing	Position (°2θ)	intensity
0 0 1	5.117	17.3	5
1 0 0	4.754	18.7	12
1 0 1	3.483	25.6	14
1 1 0	2.745	32.6	26
0 0 2	2.558	35.1	26
1 1 1	2.419	37.2	100
1 1 2	1.871	48.7	17
3 0 0	1.585	58.2	17
1 1 3	1.449	64.3	19
3 0 2	1.347	69.8	20
2 2 1	1.325	71.1	14
2 2 2	1.209	79.2	4

Atomic structure:
```
data_LiZr5
_cell_length_a 5.4891
_cell_length_b 5.4891
_cell_length_c 5.1167
_cell_angle_alpha 90.00
_cell_angle_beta 90.00
_cell_angle_gamma 120.00
_symmetry_space_group_name_H-M 'P -6 2 m'
_symmetry_Int_Tables_number 189
_symmetry_space_group_name_Hall 'P -6 -2'
loop_
_atom_site_label
_atom_site_fract_x
_atom_site_fract_y
_atom_site_fract_z
_atom_site_occupancy
Li1 0.0000 0.0000 0.0000 1
Zr1 0.0000 0.3276 0.5000 1
Zr2 0.3333 0.6667 0.0000 1
```

---

# 4
Lu: theoretical PXRD pattern (Cu Kα, 1.54184 Å), based on a DFT-relaxed cell (GGA-PBE, OQMD).
Neutral-atom scattering factors, no anomalous dispersion.

The 12 most intense peaks (15° ≤ 2θ ≤ 90°), in order of rising 2θ:
h k l	d_spacing	Position (°2θ)	intensity
0 2 0	3.063	29.2	12
1 1 0	3.006	29.7	25
0 0 2	2.738	32.7	37
0 2 1	2.673	33.5	53
1 1 1	2.635	34.0	100
1 1 2	2.024	44.8	16
1 3 0	1.757	52.0	20
0 2 3	1.568	58.9	11
1 1 3	1.560	59.2	21
1 3 2	1.479	62.8	23
2 0 2	1.459	63.8	11
2 2 1	1.449	64.3	17

Atomic structure:
```
data_Lu
_cell_length_a 3.4494
_cell_length_b 6.1258
_cell_length_c 5.4766
_cell_angle_alpha 90.00
_cell_angle_beta 90.00
_cell_angle_gamma 90.00
_symmetry_space_group_name_H-M 'C m c m'
_symmetry_Int_Tables_number 63
_symmetry_space_group_name_Hall '-C 2c 2'
loop_
_atom_site_label
_atom_site_fract_x
_atom_site_fract_y
_atom_site_fract_z
_atom_site_occupancy
Lu1 0.0000 0.1655 0.2500 1
```